The following is a calculated powder XRD pattern of Rb6CuAgO4. It was derived from the GGA-PBE geometry in the Materials Project, using copper Kα.
Intensities are scaled so that the largest is 1000.

Crystal structure
```
data_Rb6CuAgO4
_chemical_formula_sum 'Rb24 Cu4 Ag4 O16'
_space_group_name_H-M_alt 'P 41'
_space_group_IT_number 76
_space_group_name_Hall 'P 4w'
_cell_length_a 9.145
_cell_length_b 9.145
_cell_length_c 14.386
_cell_angle_alpha 90.00
_cell_angle_beta 90.00
_cell_angle_gamma 90.00
loop_
_atom_site_label
_atom_site_type_symbol
_atom_site_fract_x
_atom_site_fract_y
_atom_site_fract_z
_atom_site_occupancy
Rb1 Rb 0.026 0.472 0.000 1
Rb2 Rb 0.034 0.062 0.998 1
Rb3 Rb 0.055 0.553 0.750 1
Rb4 Rb 0.154 0.764 0.141 1
Rb5 Rb 0.264 0.658 0.359 1
Rb6 Rb 0.440 0.464 0.002 1
Cu1 Cu 0.237 0.261 0.834 1
Ag1 Ag 0.239 0.263 0.166 1
O1 O 0.037 0.262 0.834 1
O2 O 0.040 0.763 0.919 1
O3 O 0.240 0.486 0.167 1
O4 O 0.264 0.564 0.581 1
```

Top 10 peaks for 2θ = 10–80°, in order of rising 2θ:
2theta  I_rel
27.59  527
28.69  264
29.96  238
31.65  1000
32.63  272
33.40  172
34.88  158
35.95  163
39.41  164
57.54  165

The following is a calculated powder XRD pattern of Na2Be3Si3O8. It was derived from the GGA-PBE geometry in the Materials Project, using copper Kα.
Intensities are scaled so that the largest is 1000.

Crystal structure
```
data_Na2Be3Si3O8
_chemical_formula_sum 'Na8 Be12 Si12 O32'
_space_group_name_H-M_alt 'C 1 2 1'
_space_group_IT_number 5
_space_group_name_Hall 'C 2y'
_cell_length_a 13.439
_cell_length_b 9.515
_cell_length_c 9.708
_cell_angle_alpha 90.00
_cell_angle_beta 132.37
_cell_angle_gamma 90.00
loop_
_atom_site_label
_atom_site_type_symbol
_atom_site_fract_x
_atom_site_fract_y
_atom_site_fract_z
_atom_site_occupancy
Na1 Na 0.095 0.000 0.429 1
Na2 Na 0.187 0.749 0.758 1
Be1 Be 0.085 0.072 0.129 1
Be2 Be 0.094 0.113 0.926 1
Be3 Be 0.126 0.313 0.794 1
Si1 Si 0.125 0.624 0.301 1
Si2 Si 0.162 0.352 0.526 1
Si3 Si 0.174 0.556 0.030 1
O1 O 0.032 0.265 0.351 1
O2 O 0.039 0.645 0.852 1
O3 O 0.174 0.510 0.462 1
O4 O 0.175 0.398 0.978 1
O5 O 0.178 0.373 0.703 1
O6 O 0.183 0.562 0.209 1
O7 O 0.195 0.144 0.905 1
O8 O 0.197 0.773 0.407 1
```

Top 10 peaks for 2θ = 10–80°, in order of rising 2θ:
2theta  I_rel
12.89  764
13.04  1000
17.87  468
18.32  533
22.43  494
22.93  516
28.55  482
29.21  551
29.61  429
33.78  272

The following is a calculated powder XRD pattern of HoSi3Rh5. It was derived from the GGA-PBE geometry in the Materials Project, using copper Kα.
Intensities are scaled so that the largest is 1000.

Crystal structure
```
data_HoSi3Rh5
_chemical_formula_sum 'Ho6 Si18 Rh30'
_space_group_name_H-M_alt 'P 63/m'
_space_group_IT_number 176
_space_group_name_Hall '-P 6c'
_cell_length_a 15.6425
_cell_length_b 15.6425
_cell_length_c 3.8793
_cell_angle_alpha 90.00
_cell_angle_beta 90.00
_cell_angle_gamma 120.00
loop_
_atom_site_label
_atom_site_type_symbol
_atom_site_fract_x
_atom_site_fract_y
_atom_site_fract_z
_atom_site_occupancy
Ho1 Ho 0.1000 0.7061 0.2500 1
Si1 Si 0.0618 0.4326 0.2500 1
Si2 Si 0.1195 0.8691 0.7500 1
Si3 Si 0.2396 0.6813 0.7500 1
Rh1 Rh 0.0291 0.8862 0.2500 1
Rh2 Rh 0.0437 0.2716 0.2500 1
Rh3 Rh 0.0751 0.5388 0.7500 1
Rh4 Rh 0.1538 0.4145 0.7500 1
Rh5 Rh 0.2234 0.5713 0.2500 1
```

Top 10 peaks for 2θ = 10–80°, in order of rising 2θ:
2theta  I_rel
28.72  178
28.87  83
35.18  92
37.07  1000
41.63  80
46.84  193
46.96  104
50.89  160
64.61  72
71.65  114

The following is a calculated powder XRD pattern of MgTe4Mo2W2Se2S2. It was derived from the GGA-PBE geometry in the Materials Project, using copper Kα.
Intensities are scaled so that the largest is 1000.

Crystal structure
```
data_MgTe4Mo2W2Se2S2
_chemical_formula_sum 'Mg2 Te8 Mo4 W4 Se4 S4'
_space_group_name_H-M_alt 'C 1 m 1'
_space_group_IT_number 8
_space_group_name_Hall 'C -2y'
_cell_length_a 5.871
_cell_length_b 3.389
_cell_length_c 46.481
_cell_angle_alpha 90.00
_cell_angle_beta 90.03
_cell_angle_gamma 90.00
loop_
_atom_site_label
_atom_site_type_symbol
_atom_site_fract_x
_atom_site_fract_y
_atom_site_fract_z
_atom_site_occupancy
Mg1 Mg 0.000 0.000 0.000 1
Te1 Te 0.166 0.500 0.063 1
Te2 Te 0.167 0.500 0.144 1
Te3 Te 0.333 0.000 0.494 1
Te4 Te 0.333 0.000 0.574 1
Mo1 Mo 0.167 0.500 0.534 1
Mo2 Mo 0.333 0.000 0.104 1
W1 W 0.167 0.500 0.901 1
W2 W 0.333 0.000 0.722 1
Se1 Se 0.166 0.500 0.686 1
Se2 Se 0.167 0.500 0.758 1
S1 S 0.333 0.000 0.869 1
S2 S 0.333 0.000 0.934 1
```

Top 10 peaks for 2θ = 10–80°, in order of rising 2θ:
2theta  I_rel
11.42  706
30.48  687
31.97  304
34.23  749
37.30  247
39.73  1000
41.04  290
54.12  415
55.09  236
69.20  191

The following is a calculated powder XRD pattern of CsTmCl3. It was derived from the GGA-PBE geometry in the Materials Project, using copper Kα.
Intensities are scaled so that the largest is 1000.

Crystal structure
```
data_CsTmCl3
_chemical_formula_sum 'Cs1 Tm1 Cl3'
_space_group_name_H-M_alt 'P m -3 m'
_space_group_IT_number 221
_space_group_name_Hall '-P 4 2 3'
_cell_length_a 5.312
_cell_length_b 5.312
_cell_length_c 5.312
_cell_angle_alpha 90.00
_cell_angle_beta 90.00
_cell_angle_gamma 90.00
loop_
_atom_site_label
_atom_site_type_symbol
_atom_site_fract_x
_atom_site_fract_y
_atom_site_fract_z
_atom_site_occupancy
Cs1 Cs 0.000 0.000 0.000 1
Tm1 Tm 0.500 0.500 0.500 1
Cl1 Cl 0.000 0.500 0.500 1
```

Top 10 peaks for 2θ = 10–80°, in order of rising 2θ:
2theta  I_rel
16.69  97
23.69  1000
33.75  492
41.65  463
48.47  340
54.63  213
60.36  116
65.78  246
70.97  53
76.01  123

The following is a calculated powder XRD pattern of TmAl2. It was derived from the GGA-PBE geometry in the Materials Project, using copper Kα.
Intensities are scaled so that the largest is 1000.

Crystal structure
a b c (Å): 7.799 7.799 7.799
angles (deg): 90.00 90.00 90.00
Space group Fd-3m (No. 227, origin choice 2)
Symmetry-distinct sites (fractional):
Tm 0.125 0.125 0.125 x8
Al 0.000 0.000 0.500 x16

Top 10 peaks for 2θ = 10–80°, in order of rising 2θ:
2theta  I_rel
19.72  658
32.47  1000
38.28  967
46.58  86
51.05  171
57.93  388
61.81  318
68.00  207
71.58  126
77.39  167

The following is a calculated powder XRD pattern of Zn4InGaO7. It was derived from the GGA-PBE geometry in the Materials Project, using copper Kα.
Intensities are scaled so that the largest is 1000.

Crystal structure
```
data_Zn4InGaO7
_chemical_formula_sum 'Zn8 In2 Ga2 O14'
_space_group_name_H-M_alt 'P 63/m m c'
_space_group_IT_number 194
_space_group_name_Hall '-P 6c 2c'
_cell_length_a 3.3278
_cell_length_b 3.3278
_cell_length_c 33.3961
_cell_angle_alpha 90.00
_cell_angle_beta 90.00
_cell_angle_gamma 120.00
loop_
_atom_site_label
_atom_site_type_symbol
_atom_site_fract_x
_atom_site_fract_y
_atom_site_fract_z
_atom_site_occupancy
Zn1 Zn 0.0000 0.0000 0.1711 1
Zn2 Zn 0.3333 0.6667 0.0922 1
In1 In 0.0000 0.0000 0.0000 1
Ga1 Ga 0.3333 0.6667 0.2500 1
O1 O 0.0000 0.0000 0.1111 1
O2 O 0.0000 0.0000 0.2500 1
O3 O 0.3333 0.6667 0.0328 1
O4 O 0.3333 0.6667 0.1900 1
```

Top 10 peaks for 2θ = 10–80°, in order of rising 2θ:
2theta  I_rel
31.03  202
31.15  384
32.15  404
35.06  1000
45.30  148
47.41  167
55.20  438
59.23  267
65.34  269
67.10  150

The following is a calculated powder XRD pattern of Cs3K. It was derived from the GGA-PBE geometry in the Materials Project, using copper Kα.
Intensities are scaled so that the largest is 1000.

Crystal structure
```
data_Cs3K
_chemical_formula_sum 'Cs6 K2'
_space_group_name_H-M_alt 'P 63/m m c'
_space_group_IT_number 194
_space_group_name_Hall '-P 6c 2c'
_cell_length_a 10.6526
_cell_length_b 10.6526
_cell_length_c 8.5275
_cell_angle_alpha 90.00
_cell_angle_beta 90.00
_cell_angle_gamma 120.00
loop_
_atom_site_label
_atom_site_type_symbol
_atom_site_fract_x
_atom_site_fract_y
_atom_site_fract_z
_atom_site_occupancy
Cs1 Cs 0.1691 0.3382 0.2500 1
K1 K 0.3333 0.6667 0.7500 1
```

Top 10 peaks for 2θ = 10–80°, in order of rising 2θ:
2theta  I_rel
14.14  122
19.24  227
20.83  251
21.91  1000
28.51  172
33.65  219
37.15  250
39.91  270
40.52  194
53.66  167